1.
The following is a simulated X-ray powder pattern of ZnSb4O9. It was derived from a DFT-relaxed cell (GGA-PBE, the Materials Project), using CuKα.
Neutral-atom scattering factors, no anomalous dispersion.

a b c (Å): 9.331 9.331 5.154
angles (deg): 90.00 90.00 90.00
Sites, in units of the cell vectors:
1 Zn 0.250 0.250 0.045
2 Zn 0.750 0.750 0.955
3 Sb 0.023 0.669 0.358
4 Sb 0.169 0.977 0.642
5 Sb 0.331 0.523 0.642
6 Sb 0.477 0.831 0.358
7 Sb 0.523 0.169 0.642
8 Sb 0.669 0.477 0.358
9 Sb 0.831 0.023 0.358
10 Sb 0.977 0.331 0.642
11 O 0.040 0.308 0.991
12 O 0.052 0.141 0.486
13 O 0.141 0.448 0.486
14 O 0.192 0.040 0.991
15 O 0.250 0.750 0.500
16 O 0.308 0.460 0.991
17 O 0.359 0.052 0.486
18 O 0.448 0.359 0.486
19 O 0.460 0.192 0.991
20 O 0.540 0.808 0.009
21 O 0.552 0.641 0.514
22 O 0.641 0.948 0.514
23 O 0.692 0.540 0.009
24 O 0.750 0.250 0.500
25 O 0.808 0.960 0.009
26 O 0.859 0.552 0.514
27 O 0.948 0.859 0.514
28 O 0.960 0.692 0.009

Most intense lines, 2θ from 10° to 90°, low angle first:
d (Å)  2θ (°)  Rel. int.
5.154  17.20  35.3
4.512  19.68  21.6
4.062  21.88  19.0
3.243  27.50  100.0
2.951  30.29  69.3
2.193  41.17  39.4
2.086  43.37  28.4
1.755  52.13  25.8
1.511  61.33  21.3
1.485  62.56  20.7

---

2.
The following is a simulated X-ray powder pattern of Ba2Cu2Te2P2O13. It was derived from a DFT-relaxed cell (GGA-PBE, the Materials Project), using CuKα.
Neutral-atom scattering factors, no anomalous dispersion.

a b c (Å): 9.675 9.675 9.291
angles (deg): 99.19 99.19 45.34
Sites, in units of the cell vectors:
1 Ba 0.013 0.276 0.107
2 Ba 0.276 0.013 0.607
3 Ba 0.724 0.987 0.393
4 Ba 0.987 0.724 0.893
5 Cu 0.000 0.500 0.500
6 Cu 0.195 0.805 0.250
7 Cu 0.500 0.000 0.000
8 Cu 0.805 0.195 0.750
9 Te 0.285 0.597 0.570
10 Te 0.403 0.715 0.930
11 Te 0.597 0.285 0.070
12 Te 0.715 0.403 0.430
13 P 0.175 0.499 0.232
14 P 0.499 0.175 0.732
15 P 0.501 0.825 0.268
16 P 0.825 0.501 0.768
17 O 0.033 0.505 0.301
18 O 0.042 0.675 0.570
19 O 0.061 0.716 0.211
20 O 0.206 0.793 0.040
21 O 0.207 0.794 0.460
22 O 0.216 0.784 0.750
23 O 0.220 0.386 0.082
24 O 0.284 0.939 0.289
25 O 0.325 0.958 0.930
26 O 0.362 0.409 0.335
27 O 0.386 0.220 0.582
28 O 0.409 0.362 0.835
29 O 0.495 0.967 0.199
30 O 0.505 0.033 0.801
31 O 0.591 0.638 0.165
32 O 0.614 0.780 0.418
33 O 0.638 0.591 0.665
34 O 0.675 0.042 0.070
35 O 0.716 0.061 0.711
36 O 0.780 0.614 0.918
37 O 0.784 0.216 0.250
38 O 0.793 0.206 0.540
39 O 0.794 0.207 0.960
40 O 0.939 0.284 0.789
41 O 0.958 0.325 0.430
42 O 0.967 0.495 0.699

Most intense lines, 2θ from 10° to 90°, low angle first:
d (Å)  2θ (°)  Rel. int.
3.729  23.86  21.4
3.694  24.09  18.5
3.288  27.12  68.9
3.162  28.22  16.5
2.864  31.23  100.0
2.806  31.89  22.9
2.688  33.33  21.6
2.207  40.89  14.7
1.994  45.50  14.0
1.729  52.97  16.8

---

3.
The following is a simulated X-ray powder pattern of NaNdS2O8. It was derived from a DFT-relaxed cell (GGA-PBE, the Materials Project), using CuKα.
Neutral-atom scattering factors, no anomalous dispersion.

a b c (Å): 6.380 7.027 7.220
angles (deg): 99.29 96.24 90.96
Sites, in units of the cell vectors:
1 Na 0.056 0.194 0.288
2 Na 0.944 0.806 0.712
3 Nd 0.363 0.695 0.205
4 Nd 0.637 0.305 0.795
5 S 0.131 0.318 0.786
6 S 0.441 0.786 0.715
7 S 0.559 0.214 0.285
8 S 0.869 0.682 0.214
9 O 0.000 0.163 0.843
10 O 0.000 0.837 0.157
11 O 0.019 0.529 0.250
12 O 0.245 0.243 0.623
13 O 0.294 0.789 0.540
14 O 0.302 0.395 0.943
15 O 0.315 0.793 0.877
16 O 0.407 0.044 0.252
17 O 0.434 0.390 0.309
18 O 0.566 0.610 0.691
19 O 0.593 0.956 0.748
20 O 0.685 0.207 0.123
21 O 0.698 0.605 0.057
22 O 0.706 0.211 0.460
23 O 0.755 0.757 0.377
24 O 0.981 0.471 0.750

Most intense lines, 2θ from 10° to 90°, low angle first:
d (Å)  2θ (°)  Rel. int.
6.930  12.77  28.3
6.338  13.97  62.8
5.417  16.36  87.8
4.594  19.32  53.3
3.540  25.16  100.0
3.465  25.71  71.2
3.336  26.72  28.4
2.923  30.58  79.8
2.845  31.45  37.7
2.709  33.07  28.9